1.
Simulated XRD peak list
Compound: Ti7BiC2
Radiation: Cu Kα X-rays
Structure: a PBE-relaxed structure
Lines closer than 0.1° are merged.

Peak list (12 most intense, 2θ = 10–80°, by intensity)
two_theta	d_spacing	intensity
34.88	2.572	100
14.95	5.927	91
26.13	3.411	85
33.38	2.685	81
41.55	2.174	66
39.05	2.307	53
45.20	2.006	47
61.64	1.505	39
43.39	2.085	38
76.10	1.251	36
27.30	3.267	29
45.93	1.976	24

Atomic structure:
```
Ti7BiC2
1.0
3.5081 -5.5380 0.0000
3.5081 5.5380 0.0000
0.0000 0.0000 4.1707
Ti Bi C
7 1 2
direct
0.0000 0.0000 0.0000
0.1540 0.4292 0.0000
0.2204 0.7796 0.5000
0.4292 0.1540 0.0000
0.5708 0.8460 0.0000
0.7796 0.2204 0.5000
0.8460 0.5708 0.0000
0.5000 0.5000 0.5000
0.2060 0.7940 0.0000
0.7940 0.2060 0.0000
```

2.
Simulated XRD peak list
Compound: NdSm3Dy8
Radiation: Cu Kα X-rays
Structure: a PBE-relaxed structure
Lines closer than 0.1° are merged.

Peak list (12 most intense, 2θ = 10–80°, by intensity)
two_theta	d_spacing	intensity
32.47	2.758	100
31.32	2.856	24
28.34	3.149	24
56.48	1.629	21
50.18	1.818	20
60.33	1.534	19
42.74	2.116	16
61.02	1.519	11
61.09	1.517	6
78.85	1.214	5
60.44	1.532	4
72.71	1.301	3

Atomic structure:
```
NdSm3Dy8
1.0
7.8889 -3.1521 0.0000
7.8889 3.1521 0.0000
-7.5176 0.0000 7.8914
Nd Sm Dy
1 3 8
direct
0.0000 0.0000 0.0000
0.4143 0.0852 0.7497
0.4994 0.5006 0.5000
0.9148 0.5857 0.2503
0.4176 0.0830 0.0827
0.4180 0.0833 0.4182
0.4970 0.5032 0.1682
0.4968 0.5030 0.8318
0.9167 0.5820 0.5818
0.9170 0.5824 0.9173
0.9967 0.0031 0.3328
0.9969 0.0033 0.6672
```